Entry 1:
For RbPbF3, a crystal structure in the Materials Project, relaxed with GGA-PBE gives the computed PXRD pattern in this record (Cu Kα (λ = 1.5418 Å)).

The 10 most intense peaks (2θ = 10–90°), by angle:
| two_theta | intensity |
| --- | --- |
| 18.6 | 55 |
| 26.1 | 100 |
| 26.6 | 98 |
| 37.6 | 57 |
| 42.6 | 20 |
| 46.1 | 29 |
| 46.4 | 50 |
| 47.2 | 21 |
| 61.0 | 19 |
| 61.6 | 19 |

Structural model:
abc: 6.8208 6.8208 16.2968
angles: 90.00 90.00 120.00
Space group R3c (No. 161, hexagonal axes)
One atom of each set of equivalent atoms:
Rb: 0.0000 0.0000 0.0000 [6 per cell]
Pb: 0.0000 0.0000 0.2361 [6 per cell]
F: 0.0975 0.3680 0.3095 [18 per cell]

---

Entry 2:
For RbPbF3, a crystal structure in the Materials Project, relaxed with GGA-PBE gives the computed PXRD pattern in this record (Cu Kα (λ = 1.5418 Å)).

The 10 most intense peaks (2θ = 10–90°), by angle:
| two_theta | intensity |
| --- | --- |
| 23.2 | 56 |
| 25.4 | 81 |
| 26.3 | 53 |
| 26.5 | 61 |
| 26.7 | 64 |
| 27.2 | 100 |
| 30.2 | 68 |
| 36.3 | 33 |
| 38.6 | 46 |
| 40.6 | 34 |

Structural model:
abc: 4.685 4.948 17.836
angles: 89.01 84.79 89.91
Space group P-1 (No. 2)
One atom of each set of equivalent atoms:
Rb: 0.178 0.327 0.184 [2 per cell]
Rb: 0.317 0.809 0.321 [2 per cell]
Pb: 0.249 0.709 0.567 [2 per cell]
Pb: 0.256 0.178 0.928 [2 per cell]
F: 0.208 0.689 0.690 [2 per cell]
F: 0.243 0.196 0.582 [2 per cell]
F: 0.243 0.844 0.104 [2 per cell]
F: 0.261 0.666 0.915 [2 per cell]
F: 0.263 0.305 0.401 [2 per cell]
F: 0.282 0.180 0.804 [2 per cell]

---

Entry 3:
For RbPbF3, a crystal structure in the Materials Project, relaxed with GGA-PBE gives the computed PXRD pattern in this record (Cu Kα (λ = 1.5418 Å)).

The 10 most intense peaks (2θ = 10–90°), by angle:
| two_theta | intensity |
| --- | --- |
| 18.6 | 82 |
| 25.9 | 52 |
| 26.2 | 100 |
| 26.5 | 99 |
| 27.0 | 50 |
| 37.5 | 29 |
| 37.7 | 56 |
| 45.8 | 30 |
| 46.1 | 52 |
| 46.9 | 24 |

Structural model:
abc: 11.545 6.883 6.617
angles: 90.00 123.88 90.00
Space group Cc (No. 9)
One atom of each set of equivalent atoms:
Rb: 0.000 0.248 0.000 [4 per cell]
Pb: 0.234 0.246 0.755 [4 per cell]
F: 0.173 0.493 0.410 [4 per cell]
F: 0.260 0.077 0.097 [4 per cell]
F: 0.491 0.339 0.044 [4 per cell]

---

Entry 4:
For RhPb2F7, a crystal structure in the Materials Project, relaxed with GGA-PBE gives the computed PXRD pattern in this record (Cu Kα (λ = 1.5418 Å)).

The 10 most intense peaks (2θ = 10–90°), by angle:
| two_theta | intensity |
| --- | --- |
| 23.7 | 37 |
| 24.3 | 60 |
| 25.0 | 88 |
| 25.3 | 41 |
| 26.4 | 63 |
| 27.2 | 100 |
| 28.9 | 39 |
| 29.8 | 44 |
| 31.4 | 56 |
| 40.7 | 34 |

Structural model:
abc: 5.694 12.025 9.033
angles: 90.00 90.66 90.00
Space group P2_1/c (No. 14)
One atom of each set of equivalent atoms:
Rh: 0.197 0.132 0.312 [4 per cell]
Pb: 0.267 0.053 0.851 [4 per cell]
Pb: 0.289 0.705 0.955 [4 per cell]
F: 0.004 0.729 0.691 [4 per cell]
F: 0.085 0.098 0.103 [4 per cell]
F: 0.097 0.553 0.132 [4 per cell]
F: 0.292 0.164 0.523 [4 per cell]
F: 0.384 0.511 0.814 [4 per cell]
F: 0.395 0.606 0.494 [4 per cell]
F: 0.493 0.223 0.274 [4 per cell]

---

Entry 5:
For SbPbF7, a crystal structure in the Materials Project, relaxed with GGA-PBE gives the computed PXRD pattern in this record (Cu Kα (λ = 1.5418 Å)).

The 10 most intense peaks (2θ = 10–90°), by angle:
| two_theta | intensity |
| --- | --- |
| 23.2 | 77 |
| 24.1 | 100 |
| 24.5 | 74 |
| 25.2 | 41 |
| 27.4 | 40 |
| 30.4 | 26 |
| 37.3 | 19 |
| 40.5 | 23 |
| 45.5 | 32 |
| 50.3 | 22 |

Structural model:
abc: 4.843 7.582 7.884
angles: 106.19 102.15 90.46
Space group P-1 (No. 2)
One atom of each set of equivalent atoms:
Sb: 0.146 0.315 0.216 [2 per cell]
Pb: 0.334 0.144 0.695 [2 per cell]
F: 0.009 0.545 0.323 [2 per cell]
F: 0.082 0.702 0.020 [2 per cell]
F: 0.149 0.818 0.731 [2 per cell]
F: 0.222 0.933 0.412 [2 per cell]
F: 0.294 0.086 0.107 [2 per cell]
F: 0.376 0.314 0.448 [2 per cell]
F: 0.440 0.446 0.163 [2 per cell]

---

Entry 6:
For Sr5Pb3F, a crystal structure in the Materials Project, relaxed with GGA-PBE gives the computed PXRD pattern in this record (Cu Kα (λ = 1.5418 Å)).

The 10 most intense peaks (2θ = 10–90°), by angle:
| two_theta | intensity |
| --- | --- |
| 18.0 | 30 |
| 22.0 | 14 |
| 28.1 | 100 |
| 30.1 | 24 |
| 32.2 | 52 |
| 36.0 | 13 |
| 39.4 | 20 |
| 53.9 | 15 |
| 56.4 | 24 |
| 59.2 | 16 |

Structural model:
abc: 8.783 8.783 16.130
angles: 90.00 90.00 90.00
Space group I4/mcm (No. 140)
One atom of each set of equivalent atoms:
Sr: 0.000 0.000 0.000 [4 per cell]
Sr: 0.160 0.340 0.152 [16 per cell]
Pb: 0.000 0.000 0.250 [4 per cell]
Pb: 0.127 0.373 0.500 [8 per cell]
F: 0.000 0.500 0.250 [4 per cell]

---

Entry 7:
For SrPbF6, a crystal structure in the Materials Project, relaxed with GGA-PBE gives the computed PXRD pattern in this record (Cu Kα (λ = 1.5418 Å)).

The 10 most intense peaks (2θ = 10–90°), by angle:
| two_theta | intensity |
| --- | --- |
| 16.2 | 34 |
| 23.0 | 88 |
| 26.4 | 100 |
| 32.8 | 27 |
| 42.6 | 66 |
| 47.1 | 24 |
| 48.4 | 25 |
| 53.1 | 18 |
| 54.8 | 18 |
| 64.9 | 18 |

Structural model:
abc: 5.457 5.457 8.610
angles: 90.00 90.00 90.00
Space group P4_2/mmc (No. 131)
One atom of each set of equivalent atoms:
Sr: 0.000 0.000 0.000 [2 per cell]
Pb: 0.500 0.500 0.250 [2 per cell]
F: 0.000 0.500 0.000 [2 per cell]
F: 0.230 0.230 0.250 [8 per cell]
F: 0.500 0.500 0.000 [2 per cell]

---

Entry 8:
For TePbF6, a crystal structure in the Materials Project, relaxed with GGA-PBE gives the computed PXRD pattern in this record (Cu Kα (λ = 1.5418 Å)).

The 10 most intense peaks (2θ = 10–90°), by angle:
| two_theta | intensity |
| --- | --- |
| 23.0 | 25 |
| 23.5 | 63 |
| 24.9 | 37 |
| 25.1 | 100 |
| 27.3 | 26 |
| 32.5 | 18 |
| 37.4 | 20 |
| 38.5 | 16 |
| 42.3 | 36 |
| 43.4 | 16 |

Structural model:
abc: 4.759 13.067 8.692
angles: 90.00 103.31 90.00
Space group P2_1/c (No. 14)
One atom of each set of equivalent atoms:
Te: 0.058 0.223 0.472 [4 per cell]
Pb: 0.363 0.505 0.692 [4 per cell]
F: 0.111 0.672 0.864 [4 per cell]
F: 0.193 0.618 0.156 [4 per cell]
F: 0.220 0.030 0.916 [4 per cell]
F: 0.252 0.187 0.162 [4 per cell]
F: 0.297 0.684 0.564 [4 per cell]
F: 0.326 0.105 0.544 [4 per cell]

---

Entry 9:
For TlPbF7, a crystal structure in the Materials Project, relaxed with GGA-PBE gives the computed PXRD pattern in this record (Cu Kα (λ = 1.5418 Å)).

The 10 most intense peaks (2θ = 10–90°), by angle:
| two_theta | intensity |
| --- | --- |
| 21.6 | 100 |
| 21.9 | 41 |
| 25.8 | 19 |
| 27.0 | 15 |
| 28.2 | 37 |
| 29.2 | 13 |
| 31.6 | 19 |
| 43.5 | 22 |
| 47.0 | 17 |
| 50.7 | 14 |

Structural model:
abc: 9.146 5.663 12.338
angles: 90.00 117.25 90.00
Space group P2_1/c (No. 14)
One atom of each set of equivalent atoms:
Tl: 0.181 0.242 0.263 [4 per cell]
Pb: 0.272 0.743 0.041 [4 per cell]
F: 0.016 0.736 0.946 [4 per cell]
F: 0.035 0.590 0.732 [4 per cell]
F: 0.258 0.541 0.181 [4 per cell]
F: 0.272 0.042 0.143 [4 per cell]
F: 0.279 0.073 0.451 [4 per cell]
F: 0.293 0.548 0.408 [4 per cell]
F: 0.474 0.226 0.357 [4 per cell]

---

Entry 10:
For Y3Pb4F17, a crystal structure in the Materials Project, relaxed with GGA-PBE gives the computed PXRD pattern in this record (Cu Kα (λ = 1.5418 Å)).

The 10 most intense peaks (2θ = 10–90°), by angle:
| two_theta | intensity |
| --- | --- |
| 10.3 | 20 |
| 26.3 | 100 |
| 26.4 | 49 |
| 26.6 | 47 |
| 30.4 | 28 |
| 30.6 | 54 |
| 43.6 | 58 |
| 43.8 | 37 |
| 51.6 | 26 |
| 51.8 | 26 |

Structural model:
abc: 9.199 9.227 9.276
angles: 72.90 72.94 73.10
Space group P1 (No. 1)
One atom of each set of equivalent atoms:
Y: 0.000 0.000 0.000 [1 per cell]
Y: 0.053 0.657 0.788 [1 per cell]
Y: 0.136 0.312 0.559 [1 per cell]
Y: 0.371 0.231 0.922 [1 per cell]
Y: 0.717 0.446 0.860 [1 per cell]
Y: 0.921 0.372 0.226 [1 per cell]
Pb: 0.224 0.936 0.359 [1 per cell]
Pb: 0.272 0.576 0.126 [1 per cell]
Pb: 0.430 0.873 0.700 [1 per cell]
Pb: 0.491 0.530 0.497 [1 per cell]
Pb: 0.570 0.152 0.290 [1 per cell]
Pb: 0.635 0.796 0.076 [1 per cell]
Pb: 0.795 0.100 0.654 [1 per cell]
Pb: 0.841 0.737 0.432 [1 per cell]
F: 0.023 0.194 0.432 [1 per cell]
F: 0.042 0.483 0.344 [1 per cell]
F: 0.073 0.103 0.740 [1 per cell]
F: 0.079 0.818 0.214 [1 per cell]
F: 0.117 0.554 0.578 [1 per cell]
F: 0.175 0.792 0.902 [1 per cell]
F: 0.182 0.297 0.127 [1 per cell]
F: 0.229 0.052 0.975 [1 per cell]
F: 0.270 0.753 0.608 [1 per cell]
F: 0.272 0.491 0.847 [1 per cell]
F: 0.319 0.097 0.477 [1 per cell]
F: 0.322 0.260 0.690 [1 per cell]
F: 0.354 0.385 0.369 [1 per cell]
F: 0.394 0.701 0.255 [1 per cell]
F: 0.449 0.048 0.136 [1 per cell]
F: 0.492 0.349 0.036 [1 per cell]
F: 0.507 0.662 0.941 [1 per cell]
F: 0.521 0.838 0.403 [1 per cell]
F: 0.553 0.016 0.845 [1 per cell]
F: 0.579 0.329 0.749 [1 per cell]
F: 0.612 0.626 0.651 [1 per cell]
F: 0.668 0.978 0.527 [1 per cell]
F: 0.708 0.290 0.414 [1 per cell]
F: 0.725 0.436 0.102 [1 per cell]
F: 0.739 0.584 0.314 [1 per cell]
F: 0.785 0.919 0.184 [1 per cell]
F: 0.791 0.184 0.938 [1 per cell]
F: 0.803 0.671 0.795 [1 per cell]
F: 0.872 0.389 0.634 [1 per cell]
F: 0.887 0.882 0.882 [1 per cell]
F: 0.938 0.142 0.180 [1 per cell]
F: 0.976 0.589 0.051 [1 per cell]
F: 0.983 0.862 0.568 [1 per cell]
F: 0.987 0.404 0.863 [1 per cell]